AcCoPbO4: calculated powder XRD pattern (copper Kα), based on a PBE+U-relaxed structure.
Intensities are scaled so that the largest is 100.

Crystal structure
Cell: 5.8513 5.8754 7.3602 Å, 90.00 108.18 90.00°
Fractional coordinates of all 14 atoms:
1 Ac 0.2162 0.2500 0.0072
2 Ac 0.7838 0.7500 0.9928
3 Co 0.2103 0.7500 0.7701
4 Co 0.7897 0.2500 0.2299
5 Pb 0.2905 0.2500 0.5133
6 Pb 0.7095 0.7500 0.4867
7 O 0.0217 0.0222 0.2516
8 O 0.0217 0.4778 0.2516
9 O 0.3864 0.7500 0.0314
10 O 0.4555 0.7500 0.6626
11 O 0.5445 0.2500 0.3374
12 O 0.6136 0.2500 0.9686
13 O 0.9783 0.5222 0.7484
14 O 0.9783 0.9778 0.7484

Most intense lines, 2θ = 5–70°, sorted by position:
hkl  Position (°2θ)  d_spacing  I (rel.)
1 1 0  22.0  4.038  100
0 0 2  25.5  3.496  35
1 1 -2  29.8  3.001  84
0 2 0  30.4  2.938  49
2 0 0  32.2  2.780  26
2 0 -2  34.4  2.609  40
1 1 2  37.7  2.389  56
0 2 2  40.1  2.249  32
2 2 0  44.9  2.019  32
0 0 4  52.4  1.747  18